The following is a calculated X-ray diffraction stick pattern of Co2O3. It was derived from a cell relaxed with PBE+U, using Cu Kα X-rays.

Largest 12 diffraction maxima, sorted by position, 2θ = 5–70°:
- 33.31°, I = 100
- 33.82°, I = 20
- 36.48°, I = 25
- 39.61°, I = 17
- 43.62°, I = 10
- 44.27°, I = 33
- 46.43°, I = 40
- 52.47°, I = 22
- 53.82°, I = 20
- 55.08°, I = 18
- 67.67°, I = 29
- 67.89°, I = 18

abc: 4.756 4.756 6.670
angles: 90.00 90.00 146.13
Atoms (fractional coordinates):
1 Co 0.000 0.000 0.000
2 Co 0.000 0.000 0.500
3 Co 0.258 0.742 0.750
4 Co 0.742 0.258 0.250
5 O 0.089 0.911 0.250
6 O 0.361 0.639 0.056
7 O 0.361 0.639 0.444
8 O 0.639 0.361 0.556
9 O 0.639 0.361 0.944
10 O 0.911 0.089 0.750